(1)
Calculated powder diffraction line list of Mn2As2O7 for a wavelength of 1.5418 Å, from a DFT-relaxed cell (GGA+U, the Materials Project).
Intensities are scaled so that the largest is 100.

Cell and atoms:
a b c (Å): 4.892 5.632 5.633
angles (deg): 105.12 97.83 97.84
Space group P1 (No. 1)
Unique sites:
1 Mn 0.000 0.000 0.000 [1 per cell]
2 Mn 0.000 0.383 0.617 [1 per cell]
3 As 0.403 0.913 0.544 [1 per cell]
4 As 0.596 0.456 0.087 [1 per cell]
5 O 0.208 0.770 0.715 [1 per cell]
6 O 0.216 0.067 0.376 [1 per cell]
7 O 0.279 0.297 0.912 [1 per cell]
8 O 0.497 0.643 0.355 [1 per cell]
9 O 0.722 0.086 0.701 [1 per cell]
10 O 0.784 0.624 0.933 [1 per cell]
11 O 0.792 0.285 0.230 [1 per cell]

Main lines, low angle first (2θ from 5° to 70°):
hkl, two_theta, intensity
0 1 -1, 19.9, 17
1 0 1, 27.2, 52
1 1 -1, 27.3, 100
-1 1 1, 29.0, 56
0 2 0, 33.5, 34
-1 2 1, 42.0, 12
2 0 -2, 46.2, 16
1 1 -3, 50.5, 12
2 -1 2, 53.3, 24
3 1 -2, 65.2, 12

=====

(2)
Calculated powder diffraction line list of Li8MnO5F for a wavelength of 1.5418 Å, from a DFT-relaxed cell (GGA+U, the Materials Project).
Intensities are scaled so that the largest is 100.

Cell and atoms:
a b c (Å): 5.354 5.368 5.858
angles (deg): 90.80 115.40 113.95
Space group P1 (No. 1)
Unique sites:
1 Li 0.000 0.000 0.000 [1 per cell]
2 Li 0.039 0.155 0.641 [1 per cell]
3 Li 0.186 0.432 0.358 [1 per cell]
4 Li 0.411 0.867 0.640 [1 per cell]
5 Li 0.532 0.114 0.350 [1 per cell]
6 Li 0.587 0.300 0.955 [1 per cell]
7 Li 0.694 0.528 0.636 [1 per cell]
8 Li 0.868 0.732 0.336 [1 per cell]
9 Mn 0.244 0.606 0.968 [1 per cell]
10 O 0.105 0.846 0.745 [1 per cell]
11 O 0.164 0.750 0.228 [1 per cell]
12 O 0.397 0.522 0.740 [1 per cell]
13 O 0.454 0.417 0.220 [1 per cell]
14 O 0.779 0.219 0.748 [1 per cell]
15 F 0.830 0.078 0.264 [1 per cell]

Main lines, low angle first (2θ from 5° to 70°):
hkl, two_theta, intensity
0 0 1, 17.2, 57
0 1 0, 18.6, 52
1 0 -1, 19.6, 55
1 -1 0, 20.5, 51
1 0 0, 20.6, 55
0 1 -1, 22.3, 43
-1 1 1, 23.0, 35
1 1 0, 33.8, 100
1 -2 1, 38.6, 49
-2 1 2, 39.0, 45

=====

(3)
Calculated powder diffraction line list of MoPO5 for a wavelength of 1.5418 Å, from a DFT-relaxed cell (GGA+U, the Materials Project).
Intensities are scaled so that the largest is 100.

Cell and atoms:
a b c (Å): 7.133 7.577 7.972
angles (deg): 89.55 89.84 61.94
Space group P-1 (No. 2)
Unique sites:
1 Mo 0.214 0.028 0.264 [2 per cell]
2 Mo 0.285 0.468 0.766 [2 per cell]
3 P 0.015 0.745 0.092 [2 per cell]
4 P 0.486 0.256 0.408 [2 per cell]
5 O 0.013 0.752 0.678 [2 per cell]
6 O 0.051 0.398 0.818 [2 per cell]
7 O 0.075 0.852 0.231 [2 per cell]
8 O 0.170 0.103 0.017 [2 per cell]
9 O 0.214 0.626 0.981 [2 per cell]
10 O 0.295 0.377 0.526 [2 per cell]
11 O 0.318 0.888 0.487 [2 per cell]
12 O 0.422 0.139 0.283 [2 per cell]
13 O 0.457 0.604 0.696 [2 per cell]
14 O 0.499 0.239 0.827 [2 per cell]

Main lines, low angle first (2θ from 5° to 70°):
hkl, two_theta, intensity
1 1 1, 17.9, 100
1 1 -1, 18.0, 77
0 0 2, 22.3, 46
-1 1 1, 26.0, 74
1 -1 1, 26.1, 84
2 2 0, 28.4, 73
0 2 2, 34.9, 16
1 1 3, 36.6, 23
3 1 -1, 40.1, 16
3 3 -1, 44.7, 16

=====

(4)
Calculated powder diffraction line list of LiFeCoO4 for a wavelength of 1.5418 Å, from a DFT-relaxed cell (GGA+U, the Materials Project).
Intensities are scaled so that the largest is 100.

Cell and atoms:
a b c (Å): 5.855 5.855 8.123
angles (deg): 90.00 90.00 90.00
Space group P4_322 (No. 95)
Unique sites:
1 Li 0.000 0.237 0.000 [4 per cell]
2 Fe 0.254 0.254 0.625 [4 per cell]
3 Co 0.241 0.500 0.250 [4 per cell]
4 O 0.020 0.270 0.257 [8 per cell]
5 O 0.266 0.481 0.019 [8 per cell]

Main lines, low angle first (2θ from 5° to 70°):
hkl, two_theta, intensity
1 0 0, 15.1, 42
1 1 1, 24.1, 52
1 0 2, 26.7, 26
2 0 0, 30.5, 26
1 1 2, 30.8, 52
2 1 1, 36.0, 100
1 0 3, 36.6, 52
3 2 1, 57.9, 32
4 0 0, 63.6, 24
2 2 4, 64.3, 46

=====

(5)
Calculated powder diffraction line list of W3O8 for a wavelength of 1.5418 Å, from a DFT-relaxed cell (GGA+U, the Materials Project).
Intensities are scaled so that the largest is 100.

Cell and atoms:
a b c (Å): 10.580 14.451 3.851
angles (deg): 90.00 90.00 90.00
Space group Pbam (No. 55)
Unique sites:
1 W 0.026 0.109 0.000 [4 per cell]
2 W 0.127 0.661 0.000 [4 per cell]
3 W 0.215 0.409 0.000 [4 per cell]
4 O 0.023 0.111 0.500 [4 per cell]
5 O 0.054 0.336 0.000 [4 per cell]
6 O 0.121 0.985 0.000 [4 per cell]
7 O 0.126 0.530 0.000 [4 per cell]
8 O 0.127 0.669 0.500 [4 per cell]
9 O 0.132 0.806 0.000 [4 per cell]
10 O 0.192 0.171 0.000 [4 per cell]
11 O 0.220 0.405 0.500 [4 per cell]

Main lines, low angle first (2θ from 5° to 70°):
hkl, two_theta, intensity
0 0 1, 23.1, 100
0 4 0, 24.6, 45
3 1 0, 26.0, 65
3 2 0, 28.2, 40
0 4 1, 34.0, 27
3 1 1, 35.1, 41
3 2 1, 36.7, 27
0 0 2, 47.2, 27
4 6 0, 51.3, 19
4 6 1, 57.0, 21

=====

(6)
Calculated powder diffraction line list of Li7Mn5O12 for a wavelength of 1.5418 Å, from a DFT-relaxed cell (GGA+U, the Materials Project).
Intensities are scaled so that the largest is 100.

Cell and atoms:
a b c (Å): 3.007 5.100 14.732
angles (deg): 82.10 86.65 86.46
Space group P-1 (No. 2)
Unique sites:
1 Li 0.000 0.000 0.000 [1 per cell]
2 Li 0.072 0.407 0.842 [2 per cell]
3 Li 0.251 0.251 0.500 [2 per cell]
4 Li 0.413 0.075 0.155 [2 per cell]
5 Mn 0.163 0.832 0.667 [2 per cell]
6 Mn 0.337 0.668 0.332 [2 per cell]
7 Mn 0.500 0.500 0.000 [1 per cell]
8 O 0.007 0.681 0.928 [2 per cell]
9 O 0.098 0.118 0.744 [2 per cell]
10 O 0.235 0.548 0.589 [2 per cell]
11 O 0.270 0.953 0.411 [2 per cell]
12 O 0.395 0.377 0.258 [2 per cell]
13 O 0.452 0.769 0.078 [2 per cell]

Main lines, low angle first (2θ from 5° to 70°):
hkl, two_theta, intensity
0 0 1, 6.1, 32
0 0 3, 18.3, 100
1 1 0, 34.0, 19
0 2 2, 36.1, 12
1 -1 1, 36.4, 12
1 1 -3, 40.7, 38
1 -1 4, 44.2, 57
1 3 2, 61.2, 9
0 2 -7, 61.4, 9
2 0 1, 61.9, 9

=====

> What is the formula in the fifth record?

W3O8